Computed X-ray powder pattern of Tm4B6O15 for copper Kα, from DFT lattice parameters and positions (GGA-PBE).
Lines closer than 0.1° are merged.

Principal peaks in the range 10 to 90 degrees two-theta, by intensity:
| 2theta | I_rel |
| --- | --- |
| 13.09 | 1000 |
| 14.99 | 671 |
| 30.46 | 439 |
| 23.94 | 362 |
| 33.08 | 344 |
| 35.12 | 304 |
| 19.95 | 282 |
| 53.85 | 211 |
| 33.28 | 172 |
| 40.54 | 172 |

```
data_Tm4B6O15
_cell_length_a 8.134
_cell_length_b 8.134
_cell_length_c 8.134
_cell_angle_alpha 112.45
_cell_angle_beta 112.45
_cell_angle_gamma 112.45
_symmetry_space_group_name_H-M 'P 1'
_symmetry_Int_Tables_number 1
_symmetry_space_group_name_Hall 'P 1'
loop_
_atom_site_label
_atom_site_type_symbol
_atom_site_fract_x
_atom_site_fract_y
_atom_site_fract_z
Tm1 Tm 0.000 0.000 0.000
Tm2 Tm 0.116 0.284 0.810
Tm3 Tm 0.284 0.810 0.116
Tm4 Tm 0.810 0.116 0.284
B1 B 0.203 0.504 0.273
B2 B 0.273 0.203 0.504
B3 B 0.504 0.273 0.203
B4 B 0.511 0.612 0.853
B5 B 0.612 0.853 0.511
B6 B 0.853 0.511 0.612
O1 O 0.062 0.321 0.254
O2 O 0.088 0.126 0.504
O3 O 0.126 0.504 0.088
O4 O 0.254 0.062 0.321
O5 O 0.321 0.254 0.062
O6 O 0.362 0.602 0.899
O7 O 0.424 0.689 0.473
O8 O 0.473 0.424 0.689
O9 O 0.504 0.088 0.126
O10 O 0.602 0.899 0.362
O11 O 0.689 0.473 0.424
O12 O 0.716 0.822 0.986
O13 O 0.822 0.986 0.716
O14 O 0.899 0.362 0.602
O15 O 0.986 0.716 0.822
```